Entry 1:
Simulated powder diffractogram of PmCoBr for Cu Kα, from DFT lattice parameters and positions (PBE).
Intensities are scaled so that the largest is 100.

Structure:
Cell: 6.9082 3.9884 11.8479 Å, 90.00 101.49 90.00°
Space group C2/m (No. 12)
Unique sites:
Pm1 0.0564 0.0000 0.1652
Co1 0.1652 0.5000 0.9958
Br1 0.2189 0.0000 0.6651

Principal peaks in the range 10 to 80 degrees two-theta, by angle:
2θ/deg, I (rel.)
25.9, 72
31.5, 49
31.6, 100
33.1, 40
33.2, 21
36.7, 33
38.5, 55
38.7, 26
45.5, 91
47.0, 27

Entry 2:
Simulated powder diffractogram of Pm4CoBr5 for Cu Kα, from DFT lattice parameters and positions (PBE).
Intensities are scaled so that the largest is 100.

Structure:
Cell: 18.9909 4.0118 8.6354 Å, 90.00 103.75 90.00°
Space group C2/m (No. 12)
Unique sites:
Pm1 0.9996 0.0000 0.2110
Pm2 0.1478 0.5000 0.0853
Co1 0.0000 0.5000 0.0000
Br1 0.0000 0.5000 0.5000
Br2 0.1666 0.0000 0.3444
Br3 0.1739 0.0000 0.8421

Principal peaks in the range 10 to 80 degrees two-theta, by angle:
2θ/deg, I (rel.)
10.5, 51
29.0, 52
29.9, 13
30.4, 100
41.8, 16
42.4, 33
42.7, 35
45.2, 18
54.6, 17
63.3, 11

What did the second record say?
Simulated powder diffractogram of Pm4CoBr5 for Cu Kα, from DFT lattice parameters and positions (PBE).
Intensities are scaled so that the largest is 100.

Structure:
Cell: 18.9909 4.0118 8.6354 Å, 90.00 103.75 90.00°
Space group C2/m (No. 12)
Unique sites:
Pm1 0.9996 0.0000 0.2110
Pm2 0.1478 0.5000 0.0853
Co1 0.0000 0.5000 0.0000
Br1 0.0000 0.5000 0.5000
Br2 0.1666 0.0000 0.3444
Br3 0.1739 0.0000 0.8421

Principal peaks in the range 10 to 80 degrees two-theta, by angle:
2θ/deg, I (rel.)
10.5, 51
29.0, 52
29.9, 13
30.4, 100
41.8, 16
42.4, 33
42.7, 35
45.2, 18
54.6, 17
63.3, 11